No. 1
Pm3NdHo8: calculated PXRD pattern (Cu Kα, 1.54184 Å), based on the PBE geometry in Alexandria.
Kinematic intensities with the Lorentz-polarization factor, no thermal factor.

Main lines, in order of rising 2θ (10° ≤ 2θ ≤ 90°):
| 2θ (°) | I (rel.) |
| --- | --- |
| 28.36 | 24 |
| 31.42 | 24 |
| 32.51 | 100 |
| 42.84 | 16 |
| 50.22 | 20 |
| 56.64 | 21 |
| 60.43 | 19 |
| 61.08 | 11 |
| 61.16 | 6 |
| 79.02 | 5 |
| 82.89 | 9 |
| 86.93 | 7 |

Atomic structure:
abc: 8.479 8.479 10.890
angles: 129.88 129.88 43.61
Fractional positions:
Pm  0.000  0.000  0.000
Pm  0.087  0.413  0.750
Pm  0.587  0.913  0.250
Nd  0.500  0.500  0.500
Ho  0.004  0.996  0.332
Ho  0.004  0.996  0.668
Ho  0.083  0.416  0.082
Ho  0.083  0.417  0.418
Ho  0.503  0.496  0.832
Ho  0.504  0.497  0.168
Ho  0.583  0.917  0.582
Ho  0.584  0.917  0.918

=====

No. 2
Pm16Nd7Ho6: calculated PXRD pattern (Cu Kα, 1.54184 Å), based on the PBE geometry in Alexandria.
Kinematic intensities with the Lorentz-polarization factor, no thermal factor.

Main lines, in order of rising 2θ (10° ≤ 2θ ≤ 90°):
| 2θ (°) | I (rel.) |
| --- | --- |
| 24.79 | 6 |
| 27.20 | 6 |
| 28.89 | 9 |
| 31.51 | 100 |
| 33.00 | 6 |
| 35.35 | 5 |
| 43.27 | 5 |
| 45.17 | 14 |
| 56.11 | 28 |
| 59.54 | 5 |
| 65.79 | 8 |
| 74.77 | 8 |

Atomic structure:
abc: 11.356 11.356 11.356
angles: 60.00 60.00 60.00
Fractional positions:
Pm  0.048  0.651  0.651
Pm  0.126  0.126  0.126
Pm  0.126  0.126  0.623
Pm  0.126  0.623  0.126
Pm  0.349  0.349  0.349
Pm  0.349  0.349  0.952
Pm  0.349  0.952  0.349
Pm  0.377  0.874  0.874
Pm  0.623  0.126  0.126
Pm  0.651  0.048  0.651
Pm  0.651  0.651  0.048
Pm  0.651  0.651  0.651
Pm  0.874  0.377  0.874
Pm  0.874  0.874  0.377
Pm  0.874  0.874  0.874
Pm  0.952  0.349  0.349
Nd  0.000  0.000  0.000
Nd  0.000  0.000  0.500
Nd  0.000  0.500  0.000
Nd  0.000  0.500  0.500
Nd  0.500  0.000  0.000
Nd  0.500  0.000  0.500
Nd  0.500  0.500  0.000
Ho  0.264  0.264  0.736
Ho  0.264  0.736  0.264
Ho  0.264  0.736  0.736
Ho  0.736  0.264  0.264
Ho  0.736  0.264  0.736
Ho  0.736  0.736  0.264

=====

No. 3
Pm3Nd2Ho6: calculated PXRD pattern (Cu Kα, 1.54184 Å), based on the PBE geometry in Alexandria.
Kinematic intensities with the Lorentz-polarization factor, no thermal factor.

Main lines, in order of rising 2θ (10° ≤ 2θ ≤ 90°):
| 2θ (°) | I (rel.) |
| --- | --- |
| 30.78 | 100 |
| 31.08 | 32 |
| 35.78 | 67 |
| 51.30 | 24 |
| 51.70 | 23 |
| 61.00 | 10 |
| 61.17 | 24 |
| 61.26 | 9 |
| 61.56 | 14 |
| 64.12 | 12 |
| 83.76 | 8 |
| 86.42 | 7 |

Atomic structure:
abc: 6.172 6.172 11.693
angles: 95.06 95.06 120.09
Fractional positions:
Pm  0.000  0.000  0.000
Pm  0.336  0.664  0.000
Pm  0.664  0.336  0.000
Nd  0.167  0.833  0.500
Nd  0.833  0.167  0.500
Ho  0.083  0.417  0.250
Ho  0.250  0.250  0.750
Ho  0.417  0.083  0.250
Ho  0.583  0.917  0.750
Ho  0.750  0.750  0.250
Ho  0.917  0.583  0.750

=====

No. 4
Pm5Nd4Ho4: calculated PXRD pattern (Cu Kα, 1.54184 Å), based on the PBE geometry in Alexandria.
Kinematic intensities with the Lorentz-polarization factor, no thermal factor.

Main lines, in order of rising 2θ (10° ≤ 2θ ≤ 90°):
| 2θ (°) | I (rel.) |
| --- | --- |
| 30.22 | 100 |
| 34.98 | 34 |
| 35.16 | 17 |
| 50.30 | 12 |
| 50.44 | 24 |
| 59.81 | 29 |
| 60.05 | 14 |
| 62.85 | 12 |
| 81.86 | 6 |
| 82.07 | 12 |
| 84.44 | 5 |
| 84.54 | 5 |

Atomic structure:
abc: 9.595 9.595 9.595
angles: 94.06 94.06 149.15
Fractional positions:
Pm  0.000  0.000  0.000
Pm  0.309  0.540  0.849
Pm  0.460  0.309  0.768
Pm  0.540  0.691  0.232
Pm  0.691  0.460  0.151
Nd  0.077  0.383  0.460
Nd  0.383  0.923  0.305
Nd  0.617  0.077  0.695
Nd  0.923  0.617  0.540
Ho  0.154  0.769  0.923
Ho  0.231  0.154  0.385
Ho  0.769  0.846  0.615
Ho  0.846  0.231  0.077

=====

No. 5
Pm3Nd3Ho4: calculated PXRD pattern (Cu Kα, 1.54184 Å), based on the PBE geometry in Alexandria.
Kinematic intensities with the Lorentz-polarization factor, no thermal factor.

Main lines, in order of rising 2θ (10° ≤ 2θ ≤ 90°):
| 2θ (°) | I (rel.) |
| --- | --- |
| 26.18 | 13 |
| 29.34 | 62 |
| 30.61 | 31 |
| 32.02 | 100 |
| 33.57 | 17 |
| 38.56 | 11 |
| 41.82 | 10 |
| 46.06 | 10 |
| 49.61 | 11 |
| 54.66 | 20 |
| 57.32 | 15 |
| 58.69 | 17 |

Atomic structure:
abc: 3.675 9.626 9.626
angles: 90.03 90.00 90.00
Fractional positions:
Pm  0.000  0.000  0.000
Pm  0.000  0.150  0.499
Pm  0.000  0.499  0.150
Nd  0.000  0.651  0.651
Nd  0.500  0.324  0.825
Nd  0.500  0.825  0.324
Ho  0.500  0.202  0.202
Ho  0.500  0.447  0.447
Ho  0.500  0.703  0.949
Ho  0.500  0.949  0.703

=====

No. 6
Pm5PrNd2Ho: calculated PXRD pattern (Cu Kα, 1.54184 Å), based on the PBE geometry in Alexandria.
Kinematic intensities with the Lorentz-polarization factor, no thermal factor.

Main lines, in order of rising 2θ (10° ≤ 2θ ≤ 90°):
| 2θ (°) | I (rel.) |
| --- | --- |
| 28.09 | 48 |
| 28.38 | 52 |
| 30.22 | 100 |
| 31.81 | 12 |
| 33.81 | 12 |
| 36.25 | 11 |
| 36.87 | 17 |
| 42.24 | 21 |
| 45.84 | 12 |
| 51.41 | 23 |
| 54.80 | 13 |
| 63.93 | 10 |

Atomic structure:
abc: 10.112 10.112 10.112
angles: 127.81 127.81 76.93
Fractional positions:
Pm  0.000  0.000  0.000
Pm  0.071  0.571  0.919
Pm  0.152  0.071  0.500
Pm  0.348  0.848  0.919
Pm  0.429  0.348  0.500
Pm  0.500  0.500  0.000
Pm  0.571  0.652  0.500
Pm  0.652  0.152  0.081
Pm  0.848  0.929  0.500
Pm  0.929  0.429  0.081
Pr  0.250  0.250  0.000
Pr  0.750  0.750  0.000
Nd  0.117  0.383  0.500
Nd  0.383  0.883  0.265
Nd  0.617  0.117  0.735
Nd  0.883  0.617  0.500
Ho  0.250  0.750  0.500
Ho  0.750  0.250  0.500